Structure and calculated powder diffraction line list of LaPr14Cd (a crystal structure in Alexandria, relaxed with PBE; λ = 1.5418 Å (Cu Kα)).
Lines closer than 0.1° are merged.

Top 6 peaks for 10° ≤ 2θ ≤ 90°, by angle:
2θ/deg  I (rel.)
29.79  100
34.35  17
34.63  34
49.57  24
58.73  14
59.10  28

Atomic structure:
```
16
Lattice="7.326 0.000 0.000 0.000 7.326 0.000 0.000 0.000 10.443" Properties=species:S:1:pos:R:3 pbc="T T T"
La 0.000 0.000 0.000
Pr 0.000 0.000 5.221
Pr 0.000 3.663 0.000
Pr 0.000 3.663 5.221
Pr 1.858 1.858 2.566
Pr 1.858 1.858 7.877
Pr 1.858 5.468 2.566
Pr 1.858 5.468 7.877
Pr 3.663 0.000 0.000
Pr 3.663 0.000 5.221
Pr 3.663 3.663 5.221
Pr 5.468 1.858 2.566
Pr 5.468 1.858 7.877
Pr 5.468 5.468 2.566
Pr 5.468 5.468 7.877
Cd 3.663 3.663 0.000
```

Structure and calculated powder diffraction line list of La2Pr4SmCd2 (a crystal structure in Alexandria, relaxed with PBE; λ = 1.5418 Å (Cu Kα)).
Lines closer than 0.1° are merged.

Top 6 peaks for 10° ≤ 2θ ≤ 90°, by angle:
2θ/deg  I (rel.)
28.70  45
31.05  87
31.31  100
31.68  52
32.52  93
33.43  72

Atomic structure:
```
9
Lattice="6.383 0.000 0.000 3.168 6.129 0.000 1.336 3.000 7.742" Properties=species:S:1:pos:R:3 pbc="T T T"
La 1.733 1.083 2.545
La 9.154 8.046 5.197
Pr 6.166 8.559 6.811
Pr 5.181 5.345 5.627
Pr 5.706 3.784 2.115
Pr 4.721 0.570 0.931
Sm 2.252 4.564 3.871
Cd 2.701 3.670 0.722
Cd 8.186 5.459 7.020
```

Structure and calculated powder diffraction line list of La2PrSm2Cd (a crystal structure in Alexandria, relaxed with PBE; λ = 1.5418 Å (Cu Kα)).
Lines closer than 0.1° are merged.

Top 6 peaks for 10° ≤ 2θ ≤ 90°, by angle:
2θ/deg  I (rel.)
27.99  37
28.27  38
29.97  100
32.04  55
34.18  68
43.05  23

Atomic structure:
```
6
Lattice="-1.896 2.793 9.565 1.896 -2.793 9.565 1.896 2.793 -9.565" Properties=species:S:1:pos:R:3 pbc="T T T"
La 0.000 0.000 2.623
La 0.000 0.000 16.506
Pr 0.000 2.793 0.000
Sm 0.000 0.000 5.946
Sm 0.000 0.000 13.183
Cd 1.896 0.000 0.000
```

Structure and calculated powder diffraction line list of La5TbPrCd2 (a crystal structure in Alexandria, relaxed with PBE; λ = 1.5418 Å (Cu Kα)).
Lines closer than 0.1° are merged.

Top 6 peaks for 10° ≤ 2θ ≤ 90°, by angle:
2θ/deg  I (rel.)
28.10  50
28.39  34
30.89  100
36.55  16
41.91  22
51.50  18

Atomic structure:
```
18
Lattice="-4.492 4.492 7.571 4.492 -4.492 7.571 4.492 4.492 -7.571" Properties=species:S:1:pos:R:3 pbc="T T T"
La 0.000 0.000 0.000
La 6.335 1.843 -1.962
La 1.843 2.648 -1.962
La 6.335 1.843 1.962
La 1.843 2.648 1.962
La 0.000 0.000 7.571
La 2.648 1.843 5.609
La -1.843 2.648 5.609
La 2.648 1.843 9.533
La -1.843 2.648 9.533
Tb 4.492 0.000 3.785
Tb 0.000 4.492 3.785
Pr 0.000 0.000 3.785
Pr 0.000 0.000 11.356
Cd 3.545 0.946 0.000
Cd 3.545 -0.946 7.571
Cd 0.946 5.438 0.000
Cd 0.946 3.545 7.571
```

Structure and calculated powder diffraction line list of La5Cd4Pt (a crystal structure in Alexandria, relaxed with PBE; λ = 1.5418 Å (Cu Kα)).
Lines closer than 0.1° are merged.

Top 6 peaks for 10° ≤ 2θ ≤ 90°, by angle:
2θ/deg  I (rel.)
32.54  100
32.87  52
47.17  19
57.84  15
58.48  37
68.15  9

Atomic structure:
```
10
Lattice="3.853 0.000 0.000 0.000 3.853 0.000 0.000 0.000 19.656" Properties=species:S:1:pos:R:3 pbc="T T T"
La 0.000 0.000 0.000
La 0.000 0.000 4.059
La 0.000 0.000 8.174
La 0.000 0.000 11.483
La 0.000 0.000 15.598
Cd 1.927 1.927 2.028
Cd 1.927 1.927 6.036
Cd 1.927 1.927 13.620
Cd 1.927 1.927 17.629
Pt 1.927 1.927 9.828
```

Structure and calculated powder diffraction line list of LaCd9Pt2 (a crystal structure in Alexandria, relaxed with PBE; λ = 1.5418 Å (Cu Kα)).
Lines closer than 0.1° are merged.

Top 6 peaks for 10° ≤ 2θ ≤ 90°, by angle:
2θ/deg  I (rel.)
29.82  41
33.77  78
34.10  54
36.36  36
40.15  100
41.81  58

Atomic structure:
```
24
Lattice="-5.879 5.879 3.791 5.879 -5.879 3.791 5.879 5.879 -3.791" Properties=species:S:1:pos:R:3 pbc="T T T"
La 5.879 2.940 0.948
La 0.000 2.940 2.843
Cd 5.879 -2.940 2.843
Cd 4.459 -0.586 1.364
Cd 7.300 -0.586 1.364
Cd 2.353 1.519 0.532
Cd 9.405 1.519 0.532
Cd 4.459 5.293 -1.364
Cd 1.420 -0.586 2.427
Cd 2.353 4.360 0.532
Cd 3.526 -1.519 4.323
Cd 2.353 7.398 -0.532
Cd 3.526 1.519 3.259
Cd 4.459 6.465 1.364
Cd 1.420 0.586 5.155
Cd -3.526 4.360 3.259
Cd 3.526 4.360 3.259
Cd -1.420 6.465 2.427
Cd 1.420 6.465 2.427
Cd 0.000 8.819 0.948
Pt 0.000 0.000 0.000
Pt 2.940 2.940 -1.896
Pt 2.940 -2.940 1.896
Pt 0.000 5.879 0.000
```

> What is the formula in the second record?

La2Pr4SmCd2